Starting from a crystal structure in the Materials Project, relaxed with PBE+U, the powder diffractogram of BaFePHO5 was simulated for λ = 1.5418 Å (Cu Kα).
Neutral-atom scattering factors, no anomalous dispersion.

Largest 10 diffraction maxima, by angle, 2θ from 10° to 90°:
h k l	2theta	I_rel
1 0 1	19.5	19.6
0 2 2	26.6	56.4
1 1 2	26.8	29.5
1 2 1	27.9	100.0
0 3 1	31.3	17.2
1 0 3	31.9	65.6
2 0 0	35.2	36.3
0 2 4	41.1	22.9
2 2 2	44.6	27.8
1 3 4	50.7	16.9

Crystal structure
```
data_BaFePHO5
_chemical_formula_sum 'Ba4 Fe4 P4 H4 O20'
_cell_length_a 5.105
_cell_length_b 8.951
_cell_length_c 10.087
_cell_angle_alpha 90.00
_cell_angle_beta 90.00
_cell_angle_gamma 90.00
_space_group_name_H-M_alt 'P 21 21 21'
_space_group_IT_number 19
loop_
_space_group_symop_operation_xyz
'x,y,z'
'-x+1/2,-y,z+1/2'
'x+1/2,-y+1/2,-z'
'-x,y+1/2,-z+1/2'
loop_
_atom_site_label
_atom_site_type_symbol
_atom_site_fract_x
_atom_site_fract_y
_atom_site_fract_z
_atom_site_occupancy
Ba1 Ba 0.035 0.234 0.218 1
Fe1 Fe 0.028 0.464 0.578 1
P1 P 0.023 0.078 0.596 1
H1 H 0.140 0.240 0.959 1
O1 O 0.024 0.687 0.559 1
O2 O 0.042 0.747 0.880 1
O3 O 0.054 0.536 0.050 1
O4 O 0.129 0.486 0.799 1
O5 O 0.177 0.946 0.113 1
```

Starting from a crystal structure in the Materials Project, relaxed with PBE+U, the powder diffractogram of Mn4Be3Ge3SeO12 was simulated for λ = 1.5418 Å (Cu Kα).
Neutral-atom scattering factors, no anomalous dispersion.

Largest 10 diffraction maxima, by angle, 2θ from 10° to 90°:
h k l	2theta	I_rel
2 1 0	23.1	38.1
2 1 1	25.3	100.0
3 2 0	37.6	12.9
3 2 1	39.1	43.6
3 3 0	44.6	31.3
4 2 0	47.2	13.1
4 2 1	48.4	13.1
4 4 0	60.8	15.5
5 3 2	66.9	18.0
6 3 3	82.2	13.0

Crystal structure
```
data_Mn4Be3Ge3SeO12
_chemical_formula_sum 'Mn8 Be6 Ge6 Se2 O24'
_cell_length_a 8.616
_cell_length_b 8.616
_cell_length_c 8.616
_cell_angle_alpha 90.00
_cell_angle_beta 90.00
_cell_angle_gamma 90.00
_space_group_name_H-M_alt 'P -4 3 n'
_space_group_IT_number 218
_space_group_name_Hall 'P -4n 2 3'
loop_
_atom_site_label
_atom_site_type_symbol
_atom_site_fract_x
_atom_site_fract_y
_atom_site_fract_z
_atom_site_occupancy
Mn1 Mn 0.174 0.174 0.174 1
Be1 Be 0.000 0.250 0.500 1
Ge1 Ge 0.000 0.500 0.250 1
Se1 Se 0.000 0.000 0.000 1
O1 O 0.088 0.353 0.636 1
```

Starting from a crystal structure in the Materials Project, relaxed with PBE+U, the powder diffractogram of Mn3Ag4O8 was simulated for λ = 1.5418 Å (Cu Kα).
Neutral-atom scattering factors, no anomalous dispersion.

Largest 10 diffraction maxima, by angle, 2θ from 10° to 90°:
h k l	2theta	I_rel
1 3 1	29.4	29.0
0 3 3	29.5	96.6
0 1 5	29.8	58.4
2 2 3	32.7	100.0
3 2 1	35.5	85.9
2 3 2	36.9	83.8
4 1 3	40.9	41.4
3 3 0	42.1	32.0
3 2 4	42.2	31.9
1 7 3	65.6	30.4

Crystal structure
```
data_Mn3Ag4O8
_chemical_formula_sum 'Mn36 Ag48 O96'
_cell_length_a 12.8936
_cell_length_b 12.8936
_cell_length_c 15.5722
_cell_angle_alpha 90.00
_cell_angle_beta 90.00
_cell_angle_gamma 120.00
_space_group_name_H-M_alt 'R 3 2'
_space_group_IT_number 155
_space_group_name_Hall 'R 3 2"'
loop_
_atom_site_label
_atom_site_type_symbol
_atom_site_fract_x
_atom_site_fract_y
_atom_site_fract_z
_atom_site_occupancy
Mn1 Mn 0.0000 0.5390 0.0000 1
Mn2 Mn 0.0000 0.7081 0.5000 1
Mn3 Mn 0.0562 0.9031 0.1932 1
Ag1 Ag 0.0000 0.0000 0.0000 1
Ag2 Ag 0.0000 0.3356 0.5000 1
Ag3 Ag 0.0377 0.1539 0.5976 1
Ag4 Ag 0.0676 0.5289 0.6443 1
O1 O 0.0000 0.0000 0.2596 1
O2 O 0.0117 0.7554 0.7464 1
O3 O 0.0473 0.5575 0.7815 1
O4 O 0.0511 0.8385 0.4196 1
O5 O 0.0527 0.1441 0.8667 1
O6 O 0.0575 0.2455 0.2708 1
```

Starting from a crystal structure in the Materials Project, relaxed with PBE+U, the powder diffractogram of Li9Mn2Co5O16 was simulated for λ = 1.5418 Å (Cu Kα).
Neutral-atom scattering factors, no anomalous dispersion.

Largest 10 diffraction maxima, by angle, 2θ from 10° to 90°:
h k l	2theta	I_rel
1 0 -2	18.3	100.0
3 0 2	35.3	13.6
2 1 0	36.0	25.5
2 0 4	42.7	26.6
3 1 -2	43.7	54.2
0 1 4	47.4	12.7
4 1 -4	57.5	9.6
1 1 -6	62.6	14.2
6 0 -4	62.9	20.4
0 2 0	64.0	7.5

Crystal structure
```
data_Li9Mn2Co5O16
_chemical_formula_sum 'Li9 Mn2 Co5 O16'
_cell_length_a 9.804
_cell_length_b 2.908
_cell_length_c 10.353
_cell_angle_alpha 90.00
_cell_angle_beta 99.60
_cell_angle_gamma 90.00
_space_group_name_H-M_alt 'P 1 2/m 1'
_space_group_IT_number 10
loop_
_space_group_symop_operation_xyz
'x,y,z'
'-x,-y,-z'
'-x,y,-z'
'x,-y,z'
loop_
_atom_site_label
_atom_site_type_symbol
_atom_site_fract_x
_atom_site_fract_y
_atom_site_fract_z
_atom_site_occupancy
Li1 Li 0.000 0.000 0.000 1
Li2 Li 0.000 0.000 0.500 1
Li3 Li 0.250 0.500 0.119 1
Li4 Li 0.250 0.500 0.634 1
Li5 Li 0.499 0.000 0.227 1
Li6 Li 0.500 0.500 0.000 1
Mn1 Mn 0.249 0.000 0.374 1
Co1 Co 0.010 0.500 0.753 1
Co2 Co 0.268 0.000 0.892 1
Co3 Co 0.500 0.500 0.500 1
O1 O 0.113 0.000 0.688 1
O2 O 0.122 0.000 0.206 1
O3 O 0.128 0.500 0.927 1
O4 O 0.140 0.500 0.431 1
O5 O 0.357 0.500 0.315 1
O6 O 0.365 0.500 0.814 1
O7 O 0.366 0.000 0.055 1
O8 O 0.372 0.000 0.542 1
```

Starting from a crystal structure in the Materials Project, relaxed with PBE+U, the powder diffractogram of Li2CoNi3O8 was simulated for λ = 1.5418 Å (Cu Kα).
Neutral-atom scattering factors, no anomalous dispersion.

Largest 10 diffraction maxima, by angle, 2θ from 10° to 90°:
h k l	2theta	I_rel
1 1 1	18.9	100.0
3 1 1	36.5	31.8
1 1 3	36.7	14.9
2 2 2	38.2	14.5
4 0 0	44.3	34.7
0 0 4	44.8	16.6
5 1 1	58.7	12.1
4 4 0	64.4	10.3
4 0 4	64.8	20.1
4 4 4	81.9	8.0

Crystal structure
```
data_Li2CoNi3O8
_chemical_formula_sum 'Li8 Co4 Ni12 O32'
_cell_length_a 8.179
_cell_length_b 8.179
_cell_length_c 8.096
_cell_angle_alpha 90.00
_cell_angle_beta 90.00
_cell_angle_gamma 90.00
_space_group_name_H-M_alt 'P 41 21 2'
_space_group_IT_number 92
loop_
_space_group_symop_operation_xyz
'x,y,z'
'-y+1/2,x+1/2,z+1/4'
'-x,-y,z+1/2'
'y+1/2,-x+1/2,z+3/4'
'x+1/2,-y+1/2,-z+3/4'
'-y,-x,-z+1/2'
'-x+1/2,y+1/2,-z+1/4'
'y,x,-z'
loop_
_atom_site_label
_atom_site_type_symbol
_atom_site_fract_x
_atom_site_fract_y
_atom_site_fract_z
_atom_site_occupancy
Li1 Li 0.001 0.250 0.126 1
Co1 Co 0.125 0.125 0.500 1
Ni1 Ni 0.122 0.878 0.250 1
Ni2 Ni 0.124 0.626 0.999 1
O1 O 0.109 0.139 0.734 1
O2 O 0.110 0.644 0.235 1
O3 O 0.110 0.868 0.016 1
O4 O 0.116 0.360 0.515 1
```

Starting from a crystal structure in the Materials Project, relaxed with PBE+U, the powder diffractogram of MgMnAgO2 was simulated for λ = 1.5418 Å (Cu Kα).
Neutral-atom scattering factors, no anomalous dispersion.

Largest 10 diffraction maxima, by angle, 2θ from 10° to 90°:
h k l	2theta	I_rel
0 0 1	10.9	73.6
0 0 2	21.9	64.3
2 0 0	32.2	80.0
1 1 0	32.9	48.7
0 0 3	33.1	88.5
1 1 -1	33.8	100.0
1 1 1	35.6	88.0
1 1 -2	38.1	52.9
1 1 -3	45.1	52.9
3 1 -1	57.2	48.8

Crystal structure
```
data_MgMnAgO2
_chemical_formula_sum 'Mg2 Mn2 Ag2 O4'
_cell_length_a 5.642
_cell_length_b 3.128
_cell_length_c 8.259
_cell_angle_alpha 90.00
_cell_angle_beta 100.19
_cell_angle_gamma 90.00
_space_group_name_H-M_alt 'C 1 m 1'
_space_group_IT_number 8
loop_
_space_group_symop_operation_xyz
'x,y,z'
'x,-y,z'
'x+1/2,y+1/2,z'
'x+1/2,-y+1/2,z'
loop_
_atom_site_label
_atom_site_type_symbol
_atom_site_fract_x
_atom_site_fract_y
_atom_site_fract_z
_atom_site_occupancy
Mg1 Mg 0.000 0.000 0.000 1
Mn1 Mn 0.284 0.500 0.318 1
Ag1 Ag 0.238 0.000 0.702 1
O1 O 0.137 0.000 0.415 1
O2 O 0.353 0.000 0.103 1
```

Starting from a crystal structure in the Materials Project, relaxed with PBE+U, the powder diffractogram of MgCoBiO3 was simulated for λ = 1.5418 Å (Cu Kα).
Neutral-atom scattering factors, no anomalous dispersion.

Largest 10 diffraction maxima, by angle, 2θ from 10° to 90°:
h k l	2theta	I_rel
0 0 1	13.0	75.9
1 0 0	23.9	38.2
0 0 2	26.1	40.3
1 0 1	27.3	100.0
1 1 0	34.1	53.7
1 0 2	35.7	81.9
1 1 1	36.6	47.9
2 0 0	49.0	28.8
1 1 3	53.2	28.6
2 1 2	62.0	33.9

Crystal structure
```
data_MgCoBiO3
_chemical_formula_sum 'Mg1 Co1 Bi1 O3'
_cell_length_a 3.721
_cell_length_b 3.721
_cell_length_c 6.828
_cell_angle_alpha 90.00
_cell_angle_beta 90.00
_cell_angle_gamma 90.00
_space_group_name_H-M_alt 'P 4 m m'
_space_group_IT_number 99
loop_
_space_group_symop_operation_xyz
'x,y,z'
'-y,x,z'
'-x,-y,z'
'y,-x,z'
'-x,y,z'
'y,x,z'
'x,-y,z'
'-y,-x,z'
loop_
_atom_site_label
_atom_site_type_symbol
_atom_site_fract_x
_atom_site_fract_y
_atom_site_fract_z
_atom_site_occupancy
Mg1 Mg 0.000 0.000 0.000 1
Co1 Co 0.500 0.500 0.800 1
Bi1 Bi 0.000 0.000 0.475 1
O1 O 0.000 0.500 0.912 1
O2 O 0.500 0.500 0.513 1
```